# 1
Starting from a GGA-PBE-relaxed structure, the X-ray powder pattern of Li2HoTl was calculated for Cu Kα.
Lines closer than 0.1° are merged.

Cell and atoms:
a = 4.8329 Å, b = 4.8329 Å, c = 4.8329 Å
α = 60.00°, β = 60.00°, γ = 60.00°
Fractional coordinates of all 4 atoms:
1 Li 0.2500 0.2500 0.2500
2 Li 0.7500 0.7500 0.7500
3 Ho 0.0000 0.0000 0.0000
4 Tl 0.5000 0.5000 0.5000

Top 9 peaks for 2θ = 5–70°, by angle:
| 2θ (°) | I/Imax |
| --- | --- |
| 22.53 | 2 |
| 26.08 | 100 |
| 37.21 | 89 |
| 43.94 | 1 |
| 46.00 | 29 |
| 53.64 | 16 |
| 58.90 | 1 |
| 60.59 | 39 |
| 67.09 | 32 |

# 2
Starting from a GGA-PBE-relaxed structure, the X-ray powder pattern of Gd3CuSiSe7 was calculated for Cu Kα.
Lines closer than 0.1° are merged.

Cell and atoms:
a = 10.4595 Å, b = 10.4595 Å, c = 6.0311 Å
α = 90.00°, β = 90.00°, γ = 120.00°
Fractional coordinates of all 24 atoms:
1 Gd 0.1290 0.3552 0.0000
2 Gd 0.2262 0.8710 0.0000
3 Gd 0.3552 0.2262 0.5000
4 Gd 0.6448 0.7738 0.0000
5 Gd 0.7738 0.1290 0.5000
6 Gd 0.8710 0.6448 0.5000
7 Cu 0.0000 0.0000 0.4730
8 Cu 0.0000 0.0000 0.9730
9 Si 0.3333 0.6667 0.5901
10 Si 0.6667 0.3333 0.0901
11 Se 0.0948 0.2589 0.4781
12 Se 0.1028 0.5820 0.7428
13 Se 0.1641 0.9052 0.4781
14 Se 0.2589 0.1641 0.9781
15 Se 0.3333 0.6667 0.2138
16 Se 0.4180 0.5207 0.7428
17 Se 0.4793 0.8972 0.7428
18 Se 0.5207 0.1028 0.2428
19 Se 0.5820 0.4793 0.2428
20 Se 0.6667 0.3333 0.7138
21 Se 0.7411 0.8359 0.4781
22 Se 0.8359 0.0948 0.9781
23 Se 0.8972 0.4180 0.2428
24 Se 0.9052 0.7411 0.9781

Top 12 peaks for 2θ = 5–70°, by angle:
| 2θ (°) | I/Imax |
| --- | --- |
| 24.58 | 37 |
| 30.01 | 47 |
| 31.26 | 52 |
| 33.18 | 41 |
| 34.30 | 70 |
| 35.75 | 100 |
| 38.83 | 44 |
| 39.83 | 54 |
| 45.93 | 27 |
| 47.08 | 24 |
| 48.47 | 23 |
| 69.86 | 22 |